(1)
# Pu2AlZn16
Theoretical PXRD pattern, Cu Kα X-rays. Input: DFT lattice parameters and positions (GGA-PBE).

Structural model:
Cell: 9.0212 9.0212 13.2282 Å, 90.00 90.00 120.00°
Space group R3m (No. 160, hexagonal axes)
One atom of each set of equivalent atoms:
Pu1 0.0000 0.0000 0.0000
Pu2 0.0000 0.0000 0.3295
Al1 0.0000 0.0000 0.7640
Zn1 0.0000 0.0000 0.5644
Zn2 0.0000 0.2977 0.6651
Zn3 0.0025 0.5013 0.1651
Zn4 0.0100 0.5050 0.8169
Zn5 0.1715 0.3430 0.8472

The 8 most intense peaks (5 to 70 degrees two-theta), by angle:
d [Å]	I/Imax	(hkl)
3.153	48	1 1 3
2.604	38	3 0 0
2.524	20	0 2 4
2.255	51	2 2 0
2.242	100	0 3 3
2.204	42	0 0 6
1.590	23	4 1 3
1.576	24	2 2 6

***

(2)
# Ba2TiAlTe5
Theoretical PXRD pattern, Cu Kα X-rays. Input: DFT lattice parameters and positions (GGA-PBE).

Structural model:
Cell: 4.4351 20.2682 13.9637 Å, 90.00 90.00 90.00°
Space group Cmc2_1 (No. 36)
One atom of each set of equivalent atoms:
Ba1 0.0000 0.1263 0.0000
Ba2 0.0000 0.1287 0.6191
Ti1 0.0000 0.2103 0.3328
Al1 0.0000 0.4312 0.7412
Te1 0.0000 0.0586 0.3504
Te2 0.0000 0.2957 0.9597
Te3 0.0000 0.3050 0.6897
Te4 0.0000 0.3449 0.3117
Te5 0.0000 0.4971 0.5820

The 8 most intense peaks (5 to 70 degrees two-theta), by angle:
d [Å]	I/Imax	(hkl)
3.428	23	0 4 3
3.278	91	0 6 1
3.171	100	1 1 3
2.992	41	1 5 0
2.750	18	1 5 2
2.692	17	0 2 5
2.218	28	2 0 0
1.991	27	1 7 4

***

(3)
# Ag2Te8Pd3
Theoretical PXRD pattern, Cu Kα X-rays. Input: DFT lattice parameters and positions (GGA-PBE).

Structural model:
Cell: 11.7263 8.1408 7.5881 Å, 90.00 101.01 90.00°
Space group C2/m (No. 12)
One atom of each set of equivalent atoms:
Ag1 0.1899 0.0000 0.0716
Te1 0.1180 0.2716 0.8486
Te2 0.1223 0.5000 0.3683
Te3 0.1287 0.0000 0.4142
Pd1 0.0000 0.2566 0.5000
Pd2 0.0000 0.5000 0.0000

The 8 most intense peaks (5 to 70 degrees two-theta), by angle:
d [Å]	I/Imax	(hkl)
3.168	100	2 2 -1
2.883	66	2 0 2
2.349	53	4 2 -1
2.146	48	4 2 1
2.120	41	0 2 3
2.103	38	2 2 -3
2.035	36	0 4 0
1.856	36	6 0 -2

***

(4)
# Li12Zn7Au
Theoretical PXRD pattern, Cu Kα X-rays. Input: DFT lattice parameters and positions (GGA-PBE).

Structural model:
Cell: 10.8559 10.8559 9.5200 Å, 90.00 90.00 120.00°
Space group R-3m (No. 166, hexagonal axes)
One atom of each set of equivalent atoms:
Li1 0.0000 0.2629 0.0000
Li2 0.0839 0.1678 0.7458
Zn1 0.0000 0.0000 0.0000
Zn2 0.0490 0.5245 0.1237
Au1 0.0000 0.0000 0.5000

The 8 most intense peaks (5 to 70 degrees two-theta), by angle:
d [Å]	I/Imax	(hkl)
6.689	100	1 0 1
5.428	18	1 1 0
4.247	53	0 1 2
2.714	47	2 2 0
2.307	19	1 0 4
2.286	26	3 1 2
2.104	34	3 2 1
1.965	34	2 3 2

***

(5)
# TlCdHgTe
Theoretical PXRD pattern, Cu Kα X-rays. Input: DFT lattice parameters and positions (GGA-PBE).

Structural model:
Cell: 7.7907 7.7907 7.7907 Å, 90.00 90.00 90.00°
Space group F-43m (No. 216)
One atom of each set of equivalent atoms:
Tl1 0.0000 0.0000 0.0000
Cd1 0.0000 0.0000 0.5000
Hg1 0.2500 0.2500 0.2500
Te1 0.2500 0.2500 0.7500

The 8 most intense peaks (5 to 70 degrees two-theta), by angle:
d [Å]	I/Imax	(hkl)
4.498	7	1 1 1
2.754	100	2 2 0
2.349	4	3 1 1
1.948	18	4 0 0
1.787	2	3 3 1
1.590	38	4 2 2
1.499	2	5 1 1
1.377	12	4 4 0

***

(6)
# Na6AgHg2
Theoretical PXRD pattern, Cu Kα X-rays. Input: DFT lattice parameters and positions (GGA-PBE).

Structural model:
Cell: 5.3559 5.3559 31.1261 Å, 90.00 90.00 120.00°
Space group R-3m (No. 166, hexagonal axes)
One atom of each set of equivalent atoms:
Na1 0.0000 0.0000 0.0802
Na2 0.0000 0.0000 0.1971
Na3 0.0000 0.0000 0.3079
Ag1 0.0000 0.0000 0.5000
Hg1 0.0000 0.0000 0.4088

The 8 most intense peaks (5 to 70 degrees two-theta), by angle:
d [Å]	I/Imax	(hkl)
5.188	19	0 0 6
4.588	100	1 0 1
4.445	29	0 1 2
3.719	20	0 1 5
2.678	69	1 1 0
2.585	45	1 0 10
2.416	29	0 1 11
1.862	39	0 2 10

***

(7)
# Cs3Ca2PuCl9
Theoretical PXRD pattern, Cu Kα X-rays. Input: DFT lattice parameters and positions (GGA-PBE).

Structural model:
Cell: 7.8166 7.8166 9.5848 Å, 90.00 90.00 120.00°
Space group P-3m1 (No. 164)
One atom of each set of equivalent atoms:
Cs1 0.0000 0.0000 0.0000
Cs2 0.3333 0.6667 0.6683
Ca1 0.3333 0.6667 0.1617
Pu1 0.0000 0.0000 0.5000
Cl1 0.0000 0.5000 0.0000
Cl2 0.1699 0.3397 0.3288

The 8 most intense peaks (5 to 70 degrees two-theta), by angle:
d [Å]	I/Imax	(hkl)
6.769	15	1 0 0
3.910	100	1 1 0
3.192	21	0 2 1
2.765	61	2 0 2
2.257	48	3 0 0
1.955	41	2 2 0
1.749	23	3 1 2
1.478	26	4 1 0

***

(8)
# Pr2ZrTe2N2
Theoretical PXRD pattern, Cu Kα X-rays. Input: DFT lattice parameters and positions (GGA-PBE).

Structural model:
Cell: 4.3383 4.3383 16.7873 Å, 90.00 90.00 90.00°
Space group I4/mmm (No. 139)
One atom of each set of equivalent atoms:
Pr1 0.0000 0.0000 0.1020
Zr1 0.0000 0.0000 0.5000
Te1 0.0000 0.0000 0.3201
N1 0.0000 0.5000 0.0000

The 8 most intense peaks (5 to 70 degrees two-theta), by angle:
d [Å]	I/Imax	(hkl)
3.068	79	1 1 0
2.655	100	1 0 5
2.477	12	1 1 4
2.169	35	2 0 0
1.714	10	1 0 9
1.680	54	2 1 5
1.534	12	2 2 0
1.372	14	3 1 0

***

(9)
# NaTmPb2Cl8
Theoretical PXRD pattern, Cu Kα X-rays. Input: DFT lattice parameters and positions (GGA-PBE).

Structural model:
Cell: 6.4776 8.5557 6.7161 Å, 90.00 90.45 90.00°
Space group P2/m (No. 10)
One atom of each set of equivalent atoms:
Na1 0.0000 0.0000 0.0000
Tm1 0.0000 0.5000 0.0000
Pb1 0.5000 0.2462 0.5000
Cl1 0.2191 0.2721 0.1553
Cl2 0.2401 0.5000 0.6865
Cl3 0.2735 0.0000 0.6696

The 8 most intense peaks (5 to 70 degrees two-theta), by angle:
d [Å]	I/Imax	(hkl)
4.681	94	1 0 -1
4.644	100	1 0 1
3.608	56	0 2 1
3.570	85	1 2 0
3.158	44	1 2 -1
2.440	40	1 2 2
2.415	46	2 2 -1
2.405	55	2 2 1

***

(10)
# LiCe2Pm3Te6
Theoretical PXRD pattern, Cu Kα X-rays. Input: DFT lattice parameters and positions (GGA-PBE).

Structural model:
Cell: 19.4160 4.4355 8.9454 Å, 90.00 103.61 90.00°
Space group C2/m (No. 12)
One atom of each set of equivalent atoms:
Li1 0.0000 0.0000 0.0000
Ce1 0.1666 0.5000 0.3336
Pm1 0.0000 0.0000 0.5000
Pm2 0.1692 0.5000 0.8306
Te1 0.0012 0.5000 0.7600
Te2 0.1606 0.0000 0.0769
Te3 0.1658 0.0000 0.5832

The 8 most intense peaks (5 to 70 degrees two-theta), by angle:
d [Å]	I/Imax	(hkl)
3.148	100	1 1 -2
2.236	13	2 0 -4
2.229	25	7 1 -2
2.220	38	0 2 0
1.812	13	6 2 0
1.574	13	2 2 -4
1.410	11	8 2 -4
1.404	11	1 3 -2

***

(11)
# Sr2DyCd3
Theoretical PXRD pattern, Cu Kα X-rays. Input: DFT lattice parameters and positions (GGA-PBE).

Structural model:
Cell: 5.5664 16.7044 7.9111 Å, 90.00 90.00 90.00°
Space group Cmmm (No. 65)
One atom of each set of equivalent atoms:
Sr1 0.0000 0.0000 0.0000
Sr2 0.0000 0.0000 0.5000
Sr3 0.0000 0.3348 0.0000
Dy1 0.0000 0.3328 0.5000
Cd1 0.0000 0.1734 0.2774
Cd2 0.0000 0.5000 0.2694

The 8 most intense peaks (5 to 70 degrees two-theta), by angle:
d [Å]	I/Imax	(hkl)
7.911	7	0 0 1
2.788	100	2 0 0
2.191	4	1 3 3
1.978	5	0 0 4
1.968	12	2 6 0
1.612	11	2 0 4
1.608	24	3 3 2
1.395	6	2 6 4

***

(12)
# Ce2ScGa3
Theoretical PXRD pattern, Cu Kα X-rays. Input: DFT lattice parameters and positions (GGA-PBE).

Structural model:
Cell: 6.0130 6.0130 8.4560 Å, 90.00 90.00 120.00°
Space group P6_3/mmc (No. 194)
One atom of each set of equivalent atoms:
Ce1 0.3333 0.6667 0.0839
Sc1 0.0000 0.0000 0.0000
Ga1 0.1835 0.3670 0.7500

The 8 most intense peaks (5 to 70 degrees two-theta), by angle:
d [Å]	I/Imax	(hkl)
5.207	21	1 0 0
3.007	55	1 1 0
2.604	22	2 0 0
2.488	90	2 0 1
2.479	100	1 0 3
2.450	58	1 1 2
1.614	38	2 1 3
1.503	26	2 2 0